Entry 1:
For YOs2Rh, a PBE-relaxed structure gives the theoretical powder diffraction line list in this record (Cu Kα (weighted mean of Kα1 and Kα2)).
Kinematic intensities with the Lorentz-polarization factor, no thermal factor.

Principal peaks in the range 2θ from 10° to 90°, by angle:
index  2theta  intensity
0 0 1  17.6  49
2 0 -2  37.1  44
1 1 1  37.6  100
4 0 0  39.7  47
3 1 -1  44.0  71
2 0 2  44.6  20

Structure:
```
data_YOs2Rh
_symmetry_space_group_name_H-M 'C 1 m 1'
_symmetry_Int_Tables_number 8
_cell_length_a 9.2901
_cell_length_b 2.9534
_cell_length_c 5.1487
_cell_angle_alpha 90.00
_cell_angle_beta 101.93
_cell_angle_gamma 90.00
loop_
_symmetry_equiv_pos_as_xyz
'x,y,z'
'x,-y,z'
'x+1/2,y+1/2,z'
'x+1/2,-y+1/2,z'
loop_
_atom_site_label
_atom_site_fract_x
_atom_site_fract_y
_atom_site_fract_z
Y1 0.0000 0.0000 0.0000
Os1 0.0042 0.5000 0.5196
Os2 0.2386 0.0000 0.6531
Rh1 0.2612 0.5000 0.2448
```

Entry 2:
For Li2PbN, a PBE-relaxed structure gives the theoretical powder diffraction line list in this record (Cu Kα (weighted mean of Kα1 and Kα2)).
Kinematic intensities with the Lorentz-polarization factor, no thermal factor.

Principal peaks in the range 2θ from 10° to 90°, by angle:
index  2theta  intensity
1 0 1  18.5  100
1 1 2  29.9  94
2 0 0  31.4  42
1 0 3  34.1  28
2 1 1  36.7  46
3 1 2  55.0  34

Structure:
```
data_Li2PbN
_symmetry_space_group_name_H-M 'I 41/a m d'
_symmetry_Int_Tables_number 141
_cell_length_a 5.6935
_cell_length_b 5.6935
_cell_length_c 8.9017
_cell_angle_alpha 90.00
_cell_angle_beta 90.00
_cell_angle_gamma 90.00
loop_
_symmetry_equiv_pos_as_xyz
'x,y,z'
'-x,-y,-z'
'-y+1/4,x+3/4,z+1/4'
'y+1/4,-x+3/4,-z+1/4'
'-x+1/2,-y,z+1/2'
'x+1/2,y,-z+1/2'
'y+1/4,-x+1/4,z+3/4'
'-y+1/4,x+1/4,-z+3/4'
'x,-y,-z'
'-x,y,z'
'-y+1/4,-x+1/4,-z+3/4'
'y+1/4,x+1/4,z+3/4'
'-x+1/2,y,-z+1/2'
'x+1/2,-y,z+1/2'
'y+1/4,x+3/4,-z+1/4'
'-y+1/4,-x+3/4,z+1/4'
'x+1/2,y+1/2,z+1/2'
'-x+1/2,-y+1/2,-z+1/2'
'-y+3/4,x+1/4,z+3/4'
'y+3/4,-x+1/4,-z+3/4'
'-x,-y+1/2,z'
'x,y+1/2,-z'
'y+3/4,-x+3/4,z+1/4'
'-y+3/4,x+3/4,-z+1/4'
'x+1/2,-y+1/2,-z+1/2'
'-x+1/2,y+1/2,z+1/2'
'-y+3/4,-x+3/4,-z+1/4'
'y+3/4,x+3/4,z+1/4'
'-x,y+1/2,-z'
'x,-y+1/2,z'
'y+3/4,x+1/4,-z+3/4'
'-y+3/4,-x+1/4,z+3/4'
loop_
_atom_site_label
_atom_site_fract_x
_atom_site_fract_y
_atom_site_fract_z
Li1 0.0000 0.0000 0.0000
Pb1 0.0000 0.2500 0.3750
N1 0.0000 0.2500 0.8750
```